This entry pairs a crystal structure of MnNiN2 with its calculated powder XRD pattern. Radiation: copper Kα. Structure: a cell relaxed with PBE.
Kinematic intensities with the Lorentz-polarization factor, no thermal factor.

Largest 10 diffraction maxima, by angle, 2θ from 15° to 90°:
2theta  intensity
29.8  62
39.7  34
40.5  38
42.6  100
46.0  25
55.8  14
61.9  63
72.1  25
79.9  21
87.5  11

Cell and atoms:
a = 2.6204 Å, b = 2.6204 Å, c = 11.9848 Å
α = 90.00°, β = 90.00°, γ = 120.00°
Space group P6_3/mmc (No. 194)
Unique sites:
Mn 0.3333 0.6667 0.2500 [2 per cell]
Ni 0.0000 0.0000 0.0000 [2 per cell]
N 0.0000 0.0000 0.1517 [4 per cell]

This entry pairs a crystal structure of Ba2Li3TaN4 with its calculated powder XRD pattern. Radiation: copper Kα. Structure: a cell relaxed with PBE.
Kinematic intensities with the Lorentz-polarization factor, no thermal factor.

Largest 10 diffraction maxima, by angle, 2θ from 15° to 90°:
2theta  intensity
17.9  63
18.0  88
28.5  100
29.0  99
31.3  88
31.5  40
32.2  30
35.1  33
36.1  30
37.1  35

Cell and atoms:
a = 11.366 Å, b = 5.719 Å, c = 11.135 Å
α = 90.00°, β = 118.87°, γ = 90.00°
Space group C2/c (No. 15)
Unique sites:
Ba 0.153 0.218 0.112 [8 per cell]
Li 0.000 0.384 0.250 [4 per cell]
Li 0.176 0.294 0.542 [8 per cell]
Ta 0.000 0.137 0.750 [4 per cell]
N 0.077 0.341 0.662 [8 per cell]
N 0.138 0.068 0.387 [8 per cell]

This entry pairs a crystal structure of Lu3Co2Si3 with its calculated powder XRD pattern. Radiation: copper Kα. Structure: a cell relaxed with PBE.
Kinematic intensities with the Lorentz-polarization factor, no thermal factor.

Largest 10 diffraction maxima, by angle, 2θ from 15° to 90°:
2theta  intensity
24.6  29
26.6  40
27.2  19
35.1  60
36.0  100
38.1  20
40.1  34
40.6  17
44.7  31
60.2  27

Cell and atoms:
a = 4.054 Å, b = 10.190 Å, c = 13.339 Å
α = 90.00°, β = 90.00°, γ = 90.00°
Space group Cmcm (No. 63)
Unique sites:
Lu 0.000 0.080 0.113 [8 per cell]
Lu 0.000 0.361 0.250 [4 per cell]
Co 0.000 0.213 0.583 [8 per cell]
Si 0.000 0.333 0.750 [4 per cell]
Si 0.000 0.383 0.039 [8 per cell]

This entry pairs a crystal structure of HoGa3 with its calculated powder XRD pattern. Radiation: copper Kα. Structure: a cell relaxed with PBE.
Kinematic intensities with the Lorentz-polarization factor, no thermal factor.

Largest 10 diffraction maxima, by angle, 2θ from 15° to 90°:
2theta  intensity
25.1  25
29.0  19
34.2  37
36.0  85
38.0  52
38.7  100
42.4  59
60.1  39
69.1  16
73.3  41

Cell and atoms:
a = 6.1583 Å, b = 6.1583 Å, c = 14.2202 Å
α = 90.00°, β = 90.00°, γ = 120.00°
Space group P6_3/mmc (No. 194)
Unique sites:
Ho 0.0000 0.0000 0.2500 [2 per cell]
Ho 0.3333 0.6667 0.0916 [4 per cell]
Ga 0.0398 0.5199 0.7500 [6 per cell]
Ga 0.1665 0.3330 0.5816 [12 per cell]

This entry pairs a crystal structure of Mg2Ti3O8 with its calculated powder XRD pattern. Radiation: copper Kα. Structure: a cell relaxed with PBE.
Kinematic intensities with the Lorentz-polarization factor, no thermal factor.

Largest 10 diffraction maxima, by angle, 2θ from 15° to 90°:
2theta  intensity
18.2  100
21.0  27
28.5  50
31.0  36
36.8  64
39.0  32
46.4  71
49.6  29
57.8  37
64.3  36

Cell and atoms:
a = 10.490 Å, b = 5.988 Å, c = 4.974 Å
α = 90.00°, β = 111.83°, γ = 90.00°
Space group C2/m (No. 12)
Unique sites:
Mg 0.223 0.000 0.155 [4 per cell]
Ti 0.000 0.232 0.500 [4 per cell]
Ti 0.000 0.500 0.000 [2 per cell]
O 0.106 0.000 0.426 [4 per cell]
O 0.108 0.500 0.421 [4 per cell]
O 0.115 0.275 0.908 [8 per cell]

This entry pairs a crystal structure of Er3Co11B4 with its calculated powder XRD pattern. Radiation: copper Kα. Structure: a cell relaxed with PBE.
Kinematic intensities with the Lorentz-polarization factor, no thermal factor.

Largest 10 diffraction maxima, by angle, 2θ from 15° to 90°:
2theta  intensity
20.5  27
34.5  100
35.9  29
41.7  85
45.8  91
63.7  34
71.6  22
72.8  16
76.2  20
86.4  15

Cell and atoms:
a = 4.9976 Å, b = 4.9976 Å, c = 9.7431 Å
α = 90.00°, β = 90.00°, γ = 120.00°
Space group P6/mmm (No. 191)
Unique sites:
Er 0.0000 0.0000 0.0000 [1 per cell]
Er 0.0000 0.0000 0.3423 [2 per cell]
Co 0.0000 0.5000 0.2016 [6 per cell]
Co 0.0000 0.5000 0.5000 [3 per cell]
Co 0.3333 0.6667 0.0000 [2 per cell]
B 0.3333 0.6667 0.3497 [4 per cell]

This entry pairs a crystal structure of Nb6SnSe8 with its calculated powder XRD pattern. Radiation: copper Kα. Structure: a cell relaxed with PBE.
Kinematic intensities with the Lorentz-polarization factor, no thermal factor.

Largest 10 diffraction maxima, by angle, 2θ from 15° to 90°:
2theta  intensity
27.5  19
30.6  31
32.8  38
37.0  60
37.4  100
44.2  38
47.6  25
52.3  19
65.8  17
81.8  28

Cell and atoms:
a = 10.1117 Å, b = 10.1117 Å, c = 3.4989 Å
α = 90.00°, β = 90.00°, γ = 120.00°
Space group P-3 (No. 147)
Unique sites:
Nb 0.1064 0.4874 0.2494 [6 per cell]
Sn 0.0000 0.0000 0.0000 [1 per cell]
Se 0.0589 0.7225 0.2511 [6 per cell]
Se 0.3333 0.6667 0.7504 [2 per cell]